# Ba4MgBi3O12
Calculated X-ray powder pattern, CuKα. Input: a DFT-relaxed cell (PBE, Alexandria).

Cell: 8.6291 8.6291 8.6291 Å, 90.00 90.00 90.00°
Space group Im-3m (No. 229)
Unique sites:
Ba 0.2500 0.2500 0.2500
Mg 0.0000 0.0000 0.0000
Bi 0.0000 0.0000 0.5000
O 0.0000 0.0000 0.2524
O 0.0000 0.2500 0.5000

Peak list (12 most intense, 10 to 90 degrees two-theta, in order of rising 2θ)
(1 1 0), d 6.102, I 13.4; (2 0 0), d 4.315, I 3.3; (2 1 1), d 3.523, I 7.7; (2 2 0), d 3.051, I 100.0; (3 1 0), d 2.729, I 3.9; (3 2 1), d 2.306, I 5.0; (4 0 0), d 2.157, I 29.1; (4 2 2), d 1.761, I 42.1; (4 4 0), d 1.525, I 18.8; (6 2 0), d 1.364, I 18.7; (4 4 4), d 1.246, I 6.3; (6 4 2), d 1.153, I 22.7


# Ba3MgBi2O6
Calculated X-ray powder pattern, CuKα. Input: a DFT-relaxed cell (PBE, Alexandria).

Cell: 6.0281 6.0281 7.1117 Å, 90.00 90.00 120.00°
Space group P-3m1 (No. 164)
Unique sites:
Ba 0.0000 0.0000 0.0000
Ba 0.3333 0.6667 0.6268
Mg 0.0000 0.0000 0.5000
Bi 0.3333 0.6667 0.1388
O 0.1667 0.3335 0.3210

Peak list (12 most intense, 10 to 90 degrees two-theta, in order of rising 2θ)
(1 0 0), d 5.220, I 14.6; (0 1 1), d 4.208, I 15.7; (1 1 0), d 3.014, I 99.1; (0 1 2), d 2.939, I 100.0; (2 0 2), d 2.104, I 52.9; (3 0 0), d 1.740, I 20.5; (1 2 2), d 1.725, I 43.3; (1 0 4), d 1.683, I 13.7; (2 2 0), d 1.507, I 16.5; (3 1 2), d 1.341, I 19.3; (2 1 4), d 1.321, I 12.5; (2 3 2), d 1.135, I 11.9


# BaMgSnBi2
Calculated X-ray powder pattern, CuKα. Input: a DFT-relaxed cell (PBE, Alexandria).

Cell: 6.5502 15.5761 6.7813 Å, 90.00 90.00 90.00°
Space group Cmme (No. 67)
Unique sites:
Ba 0.0000 0.2500 0.2093
Mg 0.2500 0.0000 0.5000
Sn 0.0000 0.0000 0.0000
Bi 0.0000 0.1445 0.6977

Peak list (12 most intense, 10 to 90 degrees two-theta, in order of rising 2θ)
(1 1 1), d 4.510, I 47.4; (1 3 1), d 3.489, I 66.9; (0 4 1), d 3.377, I 22.7; (2 0 0), d 3.275, I 71.1; (0 2 2), d 3.109, I 35.6; (1 1 2), d 2.956, I 37.6; (1 5 1), d 2.599, I 100.0; (0 4 2), d 2.557, I 18.8; (2 0 2), d 2.353, I 42.7; (2 2 2), d 2.255, I 21.3; (2 4 2), d 2.015, I 18.0; (3 5 1), d 1.729, I 30.1


# Ba2ThMg2Bi4
Calculated X-ray powder pattern, CuKα. Input: a DFT-relaxed cell (PBE, Alexandria).

Cell: 17.1504 4.7448 8.4817 Å, 90.00 109.59 90.00°
Space group C2/m (No. 12)
Unique sites:
Ba 0.1309 0.0000 0.0749
Th 0.0000 0.0000 0.5000
Mg 0.1760 0.5000 0.4895
Bi 0.0085 0.5000 0.2413
Bi 0.2040 0.0000 0.7091

Peak list (12 most intense, 10 to 90 degrees two-theta, in order of rising 2θ)
(1 1 -1), d 4.127, I 32.1; (4 0 0), d 4.039, I 24.1; (3 1 0), d 3.560, I 60.3; (4 0 -2), d 3.484, I 30.8; (4 0 1), d 3.199, I 41.4; (1 1 -2), d 3.154, I 93.6; (3 1 -2), d 3.011, I 100.0; (5 1 -1), d 2.775, I 35.1; (3 1 2), d 2.406, I 43.0; (0 2 0), d 2.372, I 43.4; (7 1 -2), d 2.122, I 36.0; (11 1 -1), d 1.465, I 25.6


# Ba2TmMg2Bi4
Calculated X-ray powder pattern, CuKα. Input: a DFT-relaxed cell (PBE, Alexandria).

Cell: 17.0299 4.8607 7.9359 Å, 90.00 109.04 90.00°
Space group C2/m (No. 12)
Unique sites:
Ba 0.1351 0.0000 0.0900
Tm 0.0000 0.0000 0.5000
Mg 0.1693 0.5000 0.4883
Bi 0.0011 0.5000 0.7647
Bi 0.2013 0.0000 0.7049

Peak list (12 most intense, 10 to 90 degrees two-theta, in order of rising 2θ)
(3 1 0), d 3.603, I 97.3; (4 0 -2), d 3.341, I 41.8; (4 0 1), d 3.145, I 29.8; (1 1 -2), d 3.065, I 100.0; (3 1 1), d 3.001, I 52.2; (3 1 -2), d 2.940, I 70.0; (6 0 0), d 2.683, I 29.6; (0 2 0), d 2.430, I 54.8; (3 1 2), d 2.354, I 38.5; (7 1 -2), d 2.100, I 42.5; (4 0 -4), d 1.964, I 39.3; (2 2 3), d 1.627, I 32.1


# Ba2MnBi2
Calculated X-ray powder pattern, CuKα. Input: a DFT-relaxed cell (PBE, Alexandria).

Cell: 7.0128 7.0128 12.5471 Å, 90.00 90.00 90.00°
Space group I4/mmm (No. 139)
Unique sites:
Ba 0.0000 0.5000 0.2500
Mn 0.0000 0.0000 0.0000
Bi 0.0000 0.0000 0.2131

Peak list (12 most intense, 10 to 90 degrees two-theta, in order of rising 2θ)
(0 0 2), d 6.274, I 100.0; (1 0 1), d 6.122, I 27.1; (2 0 0), d 3.506, I 84.6; (0 0 4), d 3.137, I 19.2; (2 0 2), d 3.061, I 73.7; (2 2 0), d 2.479, I 33.8; (1 0 5), d 2.363, I 20.9; (2 0 4), d 2.338, I 34.3; (2 2 2), d 2.306, I 34.2; (2 1 5), d 1.959, I 24.1; (2 2 4), d 1.945, I 19.7; (4 2 2), d 1.521, I 22.3